(1)
# MgBr2O4
Theoretical powder X-ray diffraction pattern, Cu Kα, 1.54184 Å. Input: a DFT-relaxed cell (PBE, the Materials Project).

Largest 10 diffraction maxima, low angle first, 15 to 90 degrees two-theta:
| 2θ/deg | d (Å) | I/Imax | hkl |
| --- | --- | --- | --- |
| 23.1 | 3.844 | 365 | 1 1 0 |
| 28.4 | 3.138 | 1000 | 3 1 0 |
| 30.3 | 2.950 | 188 | 4 0 -1 |
| 32.7 | 2.739 | 128 | 1 1 -1 |
| 35.1 | 2.557 | 299 | 6 0 0 |
| 35.3 | 2.542 | 163 | 3 1 -1 |
| 45.7 | 1.986 | 156 | 0 2 0 |
| 55.8 | 1.649 | 137 | 4 2 -1 |
| 57.9 | 1.592 | 116 | 8 0 1 |
| 58.8 | 1.569 | 161 | 6 2 0 |

Crystal structure
Cell: 15.594 3.973 3.791 Å, 90.00 100.29 90.00°
Space group C2/m (No. 12)
Unique sites:
Mg1 0.000 0.000 0.000
Br1 0.164 0.000 0.625
O1 0.000 0.500 0.000
O2 0.000 0.500 0.500
O3 0.137 0.000 0.106

---

(2)
# Nd3Eu
Theoretical powder X-ray diffraction pattern, Cu Kα, 1.54184 Å. Input: a DFT-relaxed cell (PBE, the Materials Project).

Largest 8 diffraction maxima, low angle first, 15 to 90 degrees two-theta:
| 2θ/deg | d (Å) | I/Imax | hkl |
| --- | --- | --- | --- |
| 29.4 | 3.036 | 1000 | 1 1 1 |
| 34.1 | 2.629 | 509 | 2 0 0 |
| 49.0 | 1.859 | 366 | 2 2 0 |
| 58.2 | 1.586 | 437 | 3 1 1 |
| 61.0 | 1.518 | 126 | 2 2 2 |
| 71.8 | 1.315 | 58 | 4 0 0 |
| 79.4 | 1.206 | 178 | 3 3 1 |
| 81.9 | 1.176 | 165 | 4 2 0 |

Crystal structure
Cell: 5.259 5.259 5.259 Å, 90.00 90.00 90.00°
Space group Pm-3m (No. 221)
Unique sites:
Nd1 0.000 0.000 0.500
Eu1 0.500 0.500 0.500

---

What is the formula in the first record?
MgBr2O4